1.
Diffraction record for KAuI4. The powder diffraction line list is theoretical, not measured: it uses a crystal structure in the Materials Project, relaxed with PBE and Cu Kα X-rays.

Structure:
```
data_KAuI4
_chemical_formula_sum 'K4 Au4 I16'
_space_group_name_H-M_alt 'P 1 21/c 1'
_space_group_IT_number 14
_cell_length_a 10.3464
_cell_length_b 7.1549
_cell_length_c 14.2559
_cell_angle_alpha 90.00
_cell_angle_beta 101.62
_cell_angle_gamma 90.00
loop_
_space_group_symop_operation_xyz
'x,y,z'
'-x,-y,-z'
'-x,y+1/2,-z+1/2'
'x,-y+1/2,z+1/2'
loop_
_atom_site_label
_atom_site_type_symbol
_atom_site_fract_x
_atom_site_fract_y
_atom_site_fract_z
K1 K 0.2023 0.0636 0.1833
Au1 Au 0.0000 0.0000 0.5000
Au2 Au 0.5000 0.0000 0.5000
I1 I 0.0874 0.5656 0.1877
I2 I 0.1418 0.7062 0.4589
I3 I 0.3446 0.2229 0.9160
I4 I 0.4991 0.6536 0.8288
```

Most intense lines, 10 to 80 degrees two-theta, in order of rising 2θ:
hkl 0 0 2, 12.7 deg, d 6.982, I 41.2; hkl 0 1 1, 13.9 deg, d 6.368, I 91.7; hkl 2 0 0, 17.5 deg, d 5.067, I 46.8; hkl 2 1 -1, 21.4 deg, d 4.155, I 100.0; hkl 2 1 0, 21.5 deg, d 4.135, I 58.2; hkl 2 1 -2, 23.1 deg, d 3.846, I 33.6; hkl 2 1 1, 23.4 deg, d 3.799, I 26.8; hkl 1 1 -4, 28.2 deg, d 3.163, I 53.3; hkl 1 0 4, 28.7 deg, d 3.114, I 34.1; hkl 1 2 2, 30.2 deg, d 2.961, I 28.2; hkl 4 1 -1, 37.0 deg, d 2.432, I 29.6; hkl 0 3 3, 42.6 deg, d 2.123, I 34.5



2.
Diffraction record for MgSi. The powder diffraction line list is theoretical, not measured: it uses a crystal structure in the Materials Project, relaxed with PBE and Cu Kα X-rays.

Structure:
```
data_MgSi
_chemical_formula_sum 'Mg12 Si12'
_space_group_name_H-M_alt 'C 1 2/m 1'
_space_group_IT_number 12
_cell_length_a 12.1105
_cell_length_b 4.2856
_cell_length_c 9.0058
_cell_angle_alpha 90.00
_cell_angle_beta 104.48
_cell_angle_gamma 90.00
loop_
_space_group_symop_operation_xyz
'x,y,z'
'-x,-y,-z'
'-x,y,-z'
'x,-y,z'
'x+1/2,y+1/2,z'
'-x+1/2,-y+1/2,-z'
'-x+1/2,y+1/2,-z'
'x+1/2,-y+1/2,z'
loop_
_atom_site_label
_atom_site_type_symbol
_atom_site_fract_x
_atom_site_fract_y
_atom_site_fract_z
Mg1 Mg 0.0301 0.0000 0.3319
Mg2 Mg 0.1439 0.0000 0.0080
Mg3 Mg 0.2482 0.0000 0.6661
Si1 Si 0.0413 0.5000 0.1353
Si2 Si 0.1054 0.5000 0.5276
Si3 Si 0.1439 0.5000 0.8017
```

Most intense lines, 10 to 80 degrees two-theta, in order of rising 2θ:
hkl 1 1 0, 22.1 deg, d 4.025, I 28.2; hkl 3 1 -2, 33.9 deg, d 2.643, I 100.0; hkl 3 1 1, 34.5 deg, d 2.602, I 76.0; hkl 4 0 1, 34.6 deg, d 2.590, I 20.4; hkl 1 1 -3, 36.5 deg, d 2.459, I 75.9; hkl 1 1 3, 39.8 deg, d 2.266, I 76.3; hkl 0 2 0, 42.2 deg, d 2.143, I 76.2; hkl 5 1 -1, 42.9 deg, d 2.108, I 51.6; hkl 6 0 -1, 44.9 deg, d 2.018, I 30.2; hkl 4 0 -5, 54.0 deg, d 1.697, I 19.6; hkl 6 2 -1, 63.3 deg, d 1.469, I 21.1; hkl 4 2 -4, 63.5 deg, d 1.465, I 17.3



3.
Diffraction record for Ag2S. The powder diffraction line list is theoretical, not measured: it uses a crystal structure in the Materials Project, relaxed with PBE and Cu Kα X-rays.

Structure:
```
data_Ag2S
_chemical_formula_sum 'Ag8 S4'
_space_group_name_H-M_alt 'C m c m'
_space_group_IT_number 63
_space_group_name_Hall '-C 2c 2'
_cell_length_a 4.6228
_cell_length_b 7.4178
_cell_length_c 7.9811
_cell_angle_alpha 90.00
_cell_angle_beta 90.00
_cell_angle_gamma 90.00
loop_
_atom_site_label
_atom_site_type_symbol
_atom_site_fract_x
_atom_site_fract_y
_atom_site_fract_z
Ag1 Ag 0.0000 0.0000 0.0000
Ag2 Ag 0.0000 0.4569 0.2500
S1 S 0.0000 0.1834 0.7500
```

Most intense lines, 10 to 80 degrees two-theta, in order of rising 2θ:
hkl 0 2 0, 24.0 deg, d 3.709, I 41.9; hkl 0 2 1, 26.5 deg, d 3.363, I 13.3; hkl 1 1 2, 32.0 deg, d 2.798, I 100.0; hkl 2 0 0, 39.0 deg, d 2.311, I 22.2; hkl 1 3 1, 43.0 deg, d 2.103, I 8.4; hkl 0 0 4, 45.5 deg, d 1.995, I 14.0; hkl 2 2 0, 46.3 deg, d 1.962, I 14.1; hkl 1 3 2, 47.5 deg, d 1.913, I 35.8; hkl 0 2 4, 52.0 deg, d 1.757, I 9.8; hkl 2 0 4, 61.4 deg, d 1.510, I 10.9; hkl 3 1 2, 66.2 deg, d 1.411, I 13.0; hkl 2 2 4, 66.9 deg, d 1.399, I 8.9



4.
Diffraction record for BiC3O9. The powder diffraction line list is theoretical, not measured: it uses a crystal structure in the Materials Project, relaxed with PBE and Cu Kα X-rays.

Structure:
```
data_BiC3O9
_chemical_formula_sum 'Bi4 C12 O36'
_space_group_name_H-M_alt 'P 1 21/c 1'
_space_group_IT_number 14
_cell_length_a 9.5983
_cell_length_b 8.4726
_cell_length_c 10.1125
_cell_angle_alpha 90.00
_cell_angle_beta 98.77
_cell_angle_gamma 90.00
loop_
_space_group_symop_operation_xyz
'x,y,z'
'-x,-y,-z'
'-x,y+1/2,-z+1/2'
'x,-y+1/2,z+1/2'
loop_
_atom_site_label
_atom_site_type_symbol
_atom_site_fract_x
_atom_site_fract_y
_atom_site_fract_z
Bi1 Bi 0.1845 0.0927 0.4129
C1 C 0.0277 0.6175 0.6743
C2 C 0.0806 0.1195 0.7261
C3 C 0.4859 0.5251 0.0712
O1 O 0.0028 0.1944 0.9321
O2 O 0.0539 0.0301 0.6244
O3 O 0.1423 0.5415 0.7096
O4 O 0.1851 0.2113 0.7471
O5 O 0.2256 0.6525 0.4120
O6 O 0.3407 0.5994 0.4801
O7 O 0.3479 0.0490 0.0055
O8 O 0.3611 0.5158 0.0952
O9 O 0.4093 0.0729 0.3460
```

Most intense lines, 10 to 80 degrees two-theta, in order of rising 2θ:
hkl 0 1 1, 13.7 deg, d 6.463, I 100.0; hkl 1 1 0, 14.0 deg, d 6.319, I 51.9; hkl 1 1 1, 17.3 deg, d 5.112, I 44.9; hkl 1 0 -2, 18.7 deg, d 4.733, I 57.1; hkl 0 1 2, 20.6 deg, d 4.304, I 24.7; hkl 2 1 0, 21.5 deg, d 4.136, I 23.6; hkl 2 1 -1, 22.1 deg, d 4.017, I 28.5; hkl 2 0 -2, 23.8 deg, d 3.737, I 24.2; hkl 1 2 -1, 24.1 deg, d 3.685, I 36.5; hkl 1 2 1, 25.2 deg, d 3.534, I 44.3; hkl 2 2 1, 30.5 deg, d 2.928, I 33.7; hkl 0 2 3, 34.2 deg, d 2.619, I 31.1